[1]
The following is a computed XRD peak list of RbYAuSe3. It was derived from a GGA-PBE-relaxed structure, using Cu Ka.
Peak positions follow from Bragg's law for the DFT cell and can differ from measured ones.

Peak list (12 most intense, 10 to 90 degrees two-theta, in order of rising 2θ)
| 2θ/deg | intensity | (hkl) |
| --- | --- | --- |
| 11.45 | 100 | 2 0 0 |
| 23.02 | 14 | 4 0 0 |
| 27.65 | 17 | 1 1 2 |
| 28.89 | 61 | 3 1 1 |
| 32.22 | 54 | 3 1 2 |
| 34.70 | 58 | 2 0 4 |
| 39.97 | 41 | 5 1 2 |
| 40.33 | 12 | 4 0 4 |
| 43.89 | 24 | 0 2 0 |
| 44.16 | 12 | 5 1 3 |
| 49.70 | 17 | 7 1 2 |
| 57.09 | 14 | 2 2 4 |

Structure:
abc: 15.453 4.126 10.989
angles: 90.00 90.00 90.00
Space group Pnma (No. 62)
Unique sites:
1 Rb 0.236 0.250 0.040 (multiplicity 4)
2 Y 0.024 0.250 0.342 (multiplicity 4)
3 Au 0.017 0.750 0.106 (multiplicity 4)
4 Se 0.088 0.750 0.878 (multiplicity 4)
5 Se 0.093 0.250 0.580 (multiplicity 4)
6 Se 0.142 0.750 0.262 (multiplicity 4)



[2]
The following is a computed XRD peak list of Li2Zn2In2PdAu. It was derived from a GGA-PBE-relaxed structure, using Cu Ka.
Peak positions follow from Bragg's law for the DFT cell and can differ from measured ones.

Peak list (12 most intense, 10 to 90 degrees two-theta, in order of rising 2θ)
| 2θ/deg | intensity | (hkl) |
| --- | --- | --- |
| 23.97 | 74 | 1 0 1 |
| 39.59 | 100 | 1 1 2 |
| 39.74 | 50 | 2 0 0 |
| 46.68 | 13 | 1 0 3 |
| 46.94 | 25 | 2 1 1 |
| 57.00 | 8 | 0 0 4 |
| 57.45 | 17 | 2 2 0 |
| 62.93 | 10 | 2 1 3 |
| 71.72 | 16 | 2 0 4 |
| 72.02 | 33 | 3 1 2 |
| 77.25 | 6 | 3 2 1 |
| 85.26 | 10 | 2 2 4 |

Structure:
abc: 4.537 4.537 6.462
angles: 90.00 90.00 90.00
Space group P-4m2 (No. 115)
Unique sites:
1 Li 0.000 0.000 0.000 (multiplicity 1)
2 Li 0.500 0.500 0.500 (multiplicity 1)
3 Zn 0.000 0.500 0.240 (multiplicity 2)
4 In 0.000 0.500 0.760 (multiplicity 2)
5 Pd 0.500 0.500 0.000 (multiplicity 1)
6 Au 0.000 0.000 0.500 (multiplicity 1)



[3]
The following is a computed XRD peak list of PrSmI2BrN. It was derived from a GGA-PBE-relaxed structure, using Cu Ka.
Peak positions follow from Bragg's law for the DFT cell and can differ from measured ones.

Peak list (12 most intense, 10 to 90 degrees two-theta, in order of rising 2θ)
| 2θ/deg | intensity | (hkl) |
| --- | --- | --- |
| 25.26 | 55 | 1 1 1 |
| 25.68 | 28 | 3 1 -1 |
| 26.44 | 40 | 1 1 -2 |
| 28.53 | 46 | 4 0 -4 |
| 29.17 | 59 | 6 0 -1 |
| 30.49 | 100 | 1 1 2 |
| 33.14 | 40 | 5 1 -3 |
| 36.30 | 31 | 3 1 -4 |
| 36.71 | 29 | 6 0 -5 |
| 38.99 | 40 | 7 1 -3 |
| 40.53 | 29 | 5 1 1 |
| 44.34 | 42 | 0 2 0 |

Structure:
abc: 19.728 4.086 12.543
angles: 90.00 125.53 90.00
Space group C2/m (No. 12)
Unique sites:
1 Pr 0.071 0.000 0.458 (multiplicity 4)
2 Sm 0.134 0.500 0.774 (multiplicity 4)
3 I 0.165 0.000 0.006 (multiplicity 4)
4 I 0.224 0.500 0.624 (multiplicity 4)
5 Br 0.029 0.500 0.253 (multiplicity 4)
6 N 0.075 0.000 0.650 (multiplicity 4)



[4]
The following is a computed XRD peak list of Cu10Ge. It was derived from a GGA-PBE-relaxed structure, using Cu Ka.
Peak positions follow from Bragg's law for the DFT cell and can differ from measured ones.

Peak list (12 most intense, 10 to 90 degrees two-theta, in order of rising 2θ)
| 2θ/deg | intensity | (hkl) |
| --- | --- | --- |
| 11.58 | 21 | 0 0 4 |
| 40.52 | 18 | 1 1 10 |
| 42.83 | 100 | 1 1 11 |
| 42.98 | 55 | 3 1 -3 |
| 43.71 | 88 | 3 1 -4 |
| 45.24 | 35 | 1 1 12 |
| 49.77 | 25 | 4 0 7 |
| 50.01 | 31 | 2 0 -15 |
| 51.21 | 21 | 4 0 8 |
| 51.42 | 44 | 0 2 0 |
| 74.52 | 23 | 2 2 -15 |
| 75.46 | 16 | 4 2 8 |

Structure:
abc: 8.091 3.556 30.568
angles: 90.00 90.29 90.00
Space group C2/m (No. 12)
Unique sites:
1 Cu 0.049 0.000 0.175 (multiplicity 4)
2 Cu 0.050 0.500 0.040 (multiplicity 4)
3 Cu 0.050 0.500 0.771 (multiplicity 4)
4 Cu 0.051 0.000 0.906 (multiplicity 4)
5 Cu 0.148 0.000 0.258 (multiplicity 4)
6 Cu 0.149 0.500 0.121 (multiplicity 4)
7 Cu 0.150 0.000 0.986 (multiplicity 4)
8 Cu 0.150 0.500 0.853 (multiplicity 4)
9 Cu 0.249 0.000 0.067 (multiplicity 4)
10 Cu 0.249 0.500 0.201 (multiplicity 4)
11 Ge 0.151 0.000 0.718 (multiplicity 4)



Which formula does entry 4 have?
Cu10Ge



Which formula does entry 4 have?
Cu10Ge